No. 1
Theoretical powder X-ray diffraction pattern of TbGd3B2Pb2 for Cu Kα (weighted mean of Kα1 and Kα2), from a GGA-PBE-relaxed structure.
Neutral-atom scattering factors, no anomalous dispersion.

Largest 12 diffraction maxima, sorted by position, 2θ = 10–90°:
| 2θ/deg | d/Å | I_rel |
| --- | --- | --- |
| 27.61 | 3.231 | 22.7 |
| 31.80 | 2.814 | 21.2 |
| 31.94 | 2.802 | 100.0 |
| 42.61 | 2.122 | 15.8 |
| 48.82 | 1.865 | 21.4 |
| 56.75 | 1.622 | 18.5 |
| 59.49 | 1.554 | 39.1 |
| 66.77 | 1.401 | 4.2 |
| 78.07 | 1.224 | 7.4 |
| 80.48 | 1.193 | 14.8 |
| 86.68 | 1.123 | 7.6 |
| 86.98 | 1.120 | 4.3 |

Atomic structure:
Cell lengths 3.7306, 3.7306, 16.8828 Å; angles 90.00, 90.00, 120.00 degrees
Sites, in units of the cell vectors:
Tb: 0.0000 0.0000 0.0000
Gd: 0.0000 0.0000 0.3205
Gd: 0.3333 0.6667 0.5004
Gd: 0.3333 0.6667 0.8213
B: 0.6667 0.3333 0.4104
B: 0.6667 0.3333 0.9111
Pb: 0.0000 0.0000 0.6607
Pb: 0.3333 0.6667 0.1598


No. 2
Theoretical powder X-ray diffraction pattern of GdB4Pd for Cu Kα (weighted mean of Kα1 and Kα2), from a GGA-PBE-relaxed structure.
Neutral-atom scattering factors, no anomalous dispersion.

Largest 12 diffraction maxima, sorted by position, 2θ = 10–90°:
| 2θ/deg | d/Å | I_rel |
| --- | --- | --- |
| 12.62 | 7.014 | 5.6 |
| 25.40 | 3.507 | 41.0 |
| 32.04 | 2.793 | 79.3 |
| 41.32 | 2.185 | 100.0 |
| 52.16 | 1.753 | 9.0 |
| 57.12 | 1.613 | 20.9 |
| 62.54 | 1.485 | 24.0 |
| 63.50 | 1.465 | 20.5 |
| 67.01 | 1.397 | 9.6 |
| 72.91 | 1.297 | 18.2 |
| 81.01 | 1.187 | 14.8 |
| 89.77 | 1.092 | 9.2 |

Atomic structure:
Cell lengths 3.2252, 3.2252, 7.0139 Å; angles 90.00, 90.00, 120.00 degrees
Sites, in units of the cell vectors:
Gd: 0.0000 0.0000 0.0000
B: 0.3333 0.6667 0.2723
B: 0.3333 0.6667 0.7277
B: 0.6667 0.3333 0.2723
B: 0.6667 0.3333 0.7277
Pd: 0.0000 0.0000 0.5000